1.
Calculated PXRD pattern of ZrSnRh for Cu Kα, from a GGA-PBE-relaxed structure.

Lattice parameters (Å, degrees): 7.4234 7.4234 7.3113 90.00 90.00 120.00
Space group P-62c (No. 190)
One atom of each set of equivalent atoms:
1 Zr 0.0178 0.6117 0.2500 (multiplicity 6)
2 Sn 0.0000 0.2702 0.0000 (multiplicity 6)
3 Rh 0.0000 0.0000 0.2500 (multiplicity 2)
4 Rh 0.3333 0.6667 0.5357 (multiplicity 4)

Top 6 peaks for 5° ≤ 2θ ≤ 70°, by angle:
| Position (°2θ) | I/Imax |
| --- | --- |
| 34.43 | 100 |
| 37.00 | 42 |
| 37.25 | 74 |
| 42.17 | 59 |
| 44.79 | 35 |
| 68.62 | 35 |

2.
Calculated PXRD pattern of ZrSnRh for Cu Kα, from a GGA-PBE-relaxed structure.

Lattice parameters (Å, degrees): 7.4129 7.4129 3.6647 90.00 90.00 120.00
Space group P-62m (No. 189)
One atom of each set of equivalent atoms:
1 Zr 0.0000 0.6021 0.0000 (multiplicity 3)
2 Sn 0.0000 0.2672 0.5000 (multiplicity 3)
3 Rh 0.0000 0.0000 0.0000 (multiplicity 1)
4 Rh 0.3333 0.6667 0.5000 (multiplicity 2)

Top 6 peaks for 5° ≤ 2θ ≤ 70°, by angle:
| Position (°2θ) | I/Imax |
| --- | --- |
| 34.41 | 100 |
| 37.05 | 44 |
| 37.24 | 80 |
| 42.23 | 57 |
| 44.80 | 39 |
| 68.68 | 37 |

3.
Calculated PXRD pattern of Sr8Rh5 for Cu Kα, from a GGA-PBE-relaxed structure.

Lattice parameters (Å, degrees): 7.316 7.316 7.316 90.00 90.00 90.00
Space group Pm-3m (No. 221)
One atom of each set of equivalent atoms:
1 Sr 0.249 0.249 0.249 (multiplicity 8)
2 Rh 0.000 0.000 0.000 (multiplicity 1)
3 Rh 0.000 0.000 0.500 (multiplicity 3)
4 Rh 0.500 0.500 0.500 (multiplicity 1)

Top 6 peaks for 5° ≤ 2θ ≤ 70°, by angle:
| Position (°2θ) | I/Imax |
| --- | --- |
| 12.10 | 5 |
| 21.03 | 16 |
| 34.68 | 100 |
| 40.91 | 8 |
| 49.86 | 18 |
| 62.16 | 36 |